Diffraction record for LiInI4. The X-ray diffraction stick pattern is theoretical, not measured: it uses a PBE-relaxed structure and Cu Kα.

Cell and atoms:
```
24
Lattice="8.818 0.000 0.000 0.000 7.667 0.000 -3.954 0.000 17.309" Properties=species:S:1:pos:R:3 pbc="T T T"
Li 0.212 0.748 7.088
Li -1.765 3.085 15.743
Li 6.629 4.582 1.566
Li 4.652 6.918 10.221
In 2.221 4.723 1.636
In 0.244 6.777 10.291
In 4.620 0.890 7.018
In 2.643 2.944 15.673
I -0.005 5.450 3.124
I -1.982 6.050 11.778
I 0.223 5.668 7.752
I -1.754 5.832 16.406
I 0.228 1.809 9.692
I 2.205 2.024 1.038
I 2.392 1.640 5.561
I 0.415 2.194 14.215
I 4.449 5.473 3.094
I 2.472 6.027 11.748
I 2.659 5.643 16.272
I 4.636 5.857 7.617
I 6.617 1.835 0.903
I 4.641 1.998 9.558
I 6.846 1.617 5.531
I 4.869 2.217 14.186
```

Principal peaks in the range 2θ = 10–90°, in order of falling intensity:
2θ = 23.6°, intensity 100; 2θ = 41.0°, intensity 63; 2θ = 23.2°, intensity 60; 2θ = 23.7°, intensity 48; 2θ = 24.0°, intensity 40; 2θ = 25.1°, intensity 30; 2θ = 44.1°, intensity 28; 2θ = 34.4°, intensity 25; 2θ = 25.8°, intensity 25; 2θ = 43.1°, intensity 25; 2θ = 12.6°, intensity 25; 2θ = 34.9°, intensity 24



Diffraction record for Tl7BiPb5. The X-ray diffraction stick pattern is theoretical, not measured: it uses a PBE-relaxed structure and Cu Kα.

Cell and atoms:
```
13
Lattice="7.108 -5.157 0.000 7.108 5.157 0.000 -1.960 0.000 5.802" Properties=species:S:1:pos:R:3 pbc="T T T"
Tl 0.000 0.000 0.000
Tl 2.703 0.000 1.953
Tl 7.307 3.490 3.687
Tl 9.078 1.924 0.768
Tl 9.078 -1.924 0.768
Tl 11.598 0.000 1.966
Tl 7.307 -3.490 3.687
Bi 7.961 0.000 3.371
Pb 3.318 2.815 4.121
Pb 5.538 1.721 1.542
Pb 4.943 0.000 4.642
Pb 5.538 -1.721 1.542
Pb 3.318 -2.815 4.121
```

Principal peaks in the range 2θ = 10–90°, in order of falling intensity:
2θ = 32.0°, intensity 100; 2θ = 31.3°, intensity 49; 2θ = 29.0°, intensity 42; 2θ = 33.4°, intensity 41; 2θ = 34.8°, intensity 35; 2θ = 29.4°, intensity 31; 2θ = 29.9°, intensity 28; 2θ = 34.4°, intensity 24; 2θ = 54.6°, intensity 21; 2θ = 32.8°, intensity 21; 2θ = 35.5°, intensity 20; 2θ = 53.3°, intensity 17



Diffraction record for Cd2SnP2. The X-ray diffraction stick pattern is theoretical, not measured: it uses a PBE-relaxed structure and Cu Kα.

Cell and atoms:
```
5
Lattice="-2.105 2.105 6.300 2.105 -2.105 6.300 2.105 2.105 -6.300" Properties=species:S:1:pos:R:3 pbc="T T T"
Cd 2.105 0.000 3.150
Cd 0.000 2.105 3.150
Sn 0.000 0.000 0.000
P 0.000 0.000 4.981
P 0.000 0.000 7.619
```

Principal peaks in the range 2θ = 10–90°, in order of falling intensity:
2θ = 33.3°, intensity 100; 2θ = 43.0°, intensity 31; 2θ = 53.4°, intensity 27; 2θ = 28.3°, intensity 25; 2θ = 72.6°, intensity 23; 2θ = 41.8°, intensity 23; 2θ = 30.1°, intensity 22; 2θ = 52.3°, intensity 18; 2θ = 14.1°, intensity 13; 2θ = 62.4°, intensity 12; 2θ = 86.6°, intensity 12; 2θ = 75.4°, intensity 10



Diffraction record for SrGa4AgAu2. The X-ray diffraction stick pattern is theoretical, not measured: it uses a PBE-relaxed structure and Cu Kα.

Cell and atoms:
```
8
Lattice="2.217 1.280 9.792 -2.217 1.280 9.792 0.000 -2.560 9.792" Properties=species:S:1:pos:R:3 pbc="T T T"
Sr 0.000 0.000 0.000
Ga 0.000 0.000 3.711
Ga 0.000 0.000 11.767
Ga 0.000 0.000 17.609
Ga 0.000 0.000 25.665
Ag 0.000 0.000 14.688
Au 0.000 0.000 7.056
Au 0.000 0.000 22.321
```

Principal peaks in the range 2θ = 10–90°, in order of falling intensity:
2θ = 33.8°, intensity 100; 2θ = 40.7°, intensity 87; 2θ = 26.2°, intensity 36; 2θ = 41.2°, intensity 28; 2θ = 53.9°, intensity 26; 2θ = 69.7°, intensity 24; 2θ = 18.1°, intensity 21; 2θ = 74.1°, intensity 15; 2θ = 56.0°, intensity 14; 2θ = 44.9°, intensity 14; 2θ = 65.0°, intensity 10; 2θ = 88.1°, intensity 10



Diffraction record for CsScGe3. The X-ray diffraction stick pattern is theoretical, not measured: it uses a PBE-relaxed structure and Cu Kα.

Cell and atoms:
```
5
Lattice="5.339 0.000 0.000 0.000 5.339 0.000 0.000 0.000 5.339" Properties=species:S:1:pos:R:3 pbc="T T T"
Cs 0.000 0.000 0.000
Sc 2.670 2.670 2.670
Ge 0.000 2.670 2.670
Ge 2.670 0.000 2.670
Ge 2.670 2.670 0.000
```

Principal peaks in the range 2θ = 10–90°, in order of falling intensity:
2θ = 29.0°, intensity 100; 2θ = 33.6°, intensity 84; 2θ = 48.2°, intensity 60; 2θ = 57.2°, intensity 44; 2θ = 23.6°, intensity 26; 2θ = 80.4°, intensity 26; 2θ = 60.0°, intensity 20; 2θ = 78.0°, intensity 18; 2θ = 41.4°, intensity 11; 2θ = 70.6°, intensity 9; 2θ = 65.4°, intensity 6; 2θ = 54.3°, intensity 5



Diffraction record for Ti2Co5SiB2. The X-ray diffraction stick pattern is theoretical, not measured: it uses a PBE-relaxed structure and Cu Kα.

Cell and atoms:
```
20
Lattice="8.354 0.000 0.000 0.000 8.354 0.000 0.000 0.000 2.973" Properties=species:S:1:pos:R:3 pbc="T T T"
Ti 1.465 2.712 0.000
Ti 2.712 6.889 0.000
Ti 5.642 1.465 0.000
Ti 6.889 5.642 0.000
Co 0.000 4.177 1.487
Co 0.578 6.555 1.487
Co 1.799 0.578 1.487
Co 2.378 4.755 1.487
Co 3.599 2.378 1.487
Co 4.177 0.000 1.487
Co 4.755 5.976 1.487
Co 5.976 3.599 1.487
Co 6.555 7.776 1.487
Co 7.776 1.799 1.487
Si 0.000 0.000 0.000
Si 4.177 4.177 0.000
B 1.015 5.192 0.000
B 3.162 1.015 0.000
B 5.192 7.339 0.000
B 7.339 3.162 0.000
```

Principal peaks in the range 2θ = 10–90°, in order of falling intensity:
2θ = 46.0°, intensity 100; 2θ = 44.7°, intensity 78; 2θ = 38.7°, intensity 68; 2θ = 49.9°, intensity 43; 2θ = 48.7°, intensity 32; 2θ = 43.2°, intensity 31; 2θ = 30.1°, intensity 30; 2θ = 80.1°, intensity 24; 2θ = 62.5°, intensity 23; 2θ = 38.9°, intensity 22; 2θ = 89.2°, intensity 20; 2θ = 46.1°, intensity 18



Diffraction record for RbH6N3. The X-ray diffraction stick pattern is theoretical, not measured: it uses a PBE-relaxed structure and Cu Kα.

Cell and atoms:
```
10
Lattice="3.477 -4.178 0.000 3.477 4.178 0.000 -0.246 0.000 4.323" Properties=species:S:1:pos:R:3 pbc="T T T"
Rb 0.000 0.000 0.000
H 2.441 1.842 1.906
H 3.673 1.416 2.872
H 3.025 0.000 0.267
H 2.441 -1.842 1.906
H 4.216 0.000 1.341
H 3.673 -1.416 2.872
N 3.420 2.096 2.128
N 4.051 0.000 0.321
N 3.420 -2.096 2.128
```

Principal peaks in the range 2θ = 10–90°, in order of falling intensity:
2θ = 16.6°, intensity 100; 2θ = 29.7°, intensity 93; 2θ = 25.7°, intensity 63; 2θ = 40.5°, intensity 46; 2θ = 27.1°, intensity 43; 2θ = 38.9°, intensity 41; 2θ = 25.9°, intensity 39; 2θ = 21.3°, intensity 30; 2θ = 20.5°, intensity 29; 2θ = 51.0°, intensity 21; 2θ = 34.7°, intensity 20; 2θ = 48.4°, intensity 17